This entry pairs a crystal structure of La2GaNiO6 with its simulated PXRD pattern. Radiation: copper Kα. Structure: a crystal structure in the Materials Project, relaxed with GGA+U.
Neutral-atom scattering factors, no anomalous dispersion.

The 6 most intense peaks (2θ from 10° to 90°), by angle:
Position (°2θ)	I/Imax
31.5	57
32.0	56
32.3	100
32.8	52
32.9	50
45.4	31

Crystal structure
Lattice parameters (Å, degrees): 5.439 5.460 5.544 118.89 90.09 118.71
Fractional positions:
La 0.245 0.491 0.240
La 0.755 0.509 0.760
Ga 0.000 0.000 0.500
Ni 0.500 0.000 0.000
O 0.193 0.923 0.184
O 0.232 0.478 0.665
O 0.319 0.090 0.782
O 0.681 0.910 0.218
O 0.768 0.522 0.335
O 0.807 0.077 0.816

---

This entry pairs a crystal structure of La2GaNiO6 with its simulated PXRD pattern. Radiation: copper Kα. Structure: a crystal structure in the Materials Project, relaxed with GGA+U.
Neutral-atom scattering factors, no anomalous dispersion.

The 6 most intense peaks (2θ from 10° to 90°), by angle:
Position (°2θ)	I/Imax
32.0	99
32.7	100
46.4	59
57.0	24
57.5	41
58.7	19

Crystal structure
Lattice parameters (Å, degrees): 5.486 5.486 5.486 61.29 61.29 61.29
Fractional positions:
La 0.249 0.249 0.249
La 0.751 0.751 0.751
Ga 0.500 0.500 0.500
Ni 0.000 0.000 0.000
O 0.185 0.750 0.318
O 0.250 0.682 0.815
O 0.318 0.185 0.750
O 0.682 0.815 0.250
O 0.750 0.318 0.185
O 0.815 0.250 0.682

---

This entry pairs a crystal structure of Sr4LiMn2Ga2O11 with its simulated PXRD pattern. Radiation: copper Kα. Structure: a crystal structure in the Materials Project, relaxed with GGA+U.
Neutral-atom scattering factors, no anomalous dispersion.

The 6 most intense peaks (2θ from 10° to 90°), by angle:
Position (°2θ)	I/Imax
31.3	92
31.8	80
32.7	100
43.4	35
55.4	34
57.2	34

Crystal structure
Lattice parameters (Å, degrees): 5.728 5.728 8.689 110.44 110.44 86.51
Fractional positions:
Sr 0.000 0.000 0.000
Sr 0.289 0.289 0.502
Sr 0.501 0.501 0.000
Sr 0.715 0.715 0.501
Li 0.961 0.961 0.418
Mn 0.121 0.610 0.230
Mn 0.610 0.121 0.230
Ga 0.388 0.862 0.747
Ga 0.862 0.388 0.747
O 0.049 0.434 0.983
O 0.122 0.621 0.742
O 0.207 0.793 0.500
O 0.370 0.871 0.241
O 0.392 0.392 0.282
O 0.434 0.049 0.983
O 0.621 0.122 0.742
O 0.621 0.621 0.739
O 0.793 0.207 0.500
O 0.844 0.844 0.188
O 0.871 0.370 0.241

---

This entry pairs a crystal structure of Sr4LiMn2Ga2O11 with its simulated PXRD pattern. Radiation: copper Kα. Structure: a crystal structure in the Materials Project, relaxed with GGA+U.
Neutral-atom scattering factors, no anomalous dispersion.

The 6 most intense peaks (2θ from 10° to 90°), by angle:
Position (°2θ)	I/Imax
31.5	39
31.9	40
32.1	100
32.2	98
45.3	37
45.6	32

Crystal structure
Lattice parameters (Å, degrees): 5.583 5.583 8.860 108.37 108.37 88.30
Fractional positions:
Sr 0.115 0.115 0.237
Sr 0.342 0.342 0.702
Sr 0.658 0.658 0.298
Sr 0.885 0.885 0.763
Li 0.500 0.500 0.000
Mn 0.000 0.500 0.000
Mn 0.500 0.000 0.000
Ga 0.238 0.762 0.500
Ga 0.762 0.238 0.500
O 0.000 0.000 0.500
O 0.000 0.500 0.500
O 0.180 0.584 0.261
O 0.241 0.241 0.951
O 0.248 0.752 0.000
O 0.416 0.820 0.739
O 0.500 0.000 0.500
O 0.584 0.180 0.261
O 0.752 0.248 0.000
O 0.759 0.759 0.049
O 0.820 0.416 0.739

---

This entry pairs a crystal structure of Sr4LiMn2Ga2O11 with its simulated PXRD pattern. Radiation: copper Kα. Structure: a crystal structure in the Materials Project, relaxed with GGA+U.
Neutral-atom scattering factors, no anomalous dispersion.

The 6 most intense peaks (2θ from 10° to 90°), by angle:
Position (°2θ)	I/Imax
30.8	49
31.2	49
31.8	100
32.8	90
45.9	38
48.2	30

Crystal structure
Lattice parameters (Å, degrees): 5.752 5.813 8.528 108.63 108.38 93.63
Fractional positions:
Sr 0.000 0.000 0.000
Sr 0.206 0.285 0.473
Sr 0.418 0.593 0.998
Sr 0.689 0.781 0.472
Li 0.697 0.284 0.971
Mn 0.076 0.662 0.240
Mn 0.586 0.173 0.240
Ga 0.295 0.939 0.726
Ga 0.850 0.384 0.727
O 0.073 0.162 0.730
O 0.086 0.673 0.750
O 0.247 0.732 0.490
O 0.296 0.409 0.198
O 0.329 0.914 0.235
O 0.503 0.010 0.978
O 0.569 0.161 0.723
O 0.665 0.351 0.489
O 0.822 0.411 0.224
O 0.859 0.920 0.270
O 0.891 0.564 0.975

---

This entry pairs a crystal structure of Sr4LiMn2Ga2O11 with its simulated PXRD pattern. Radiation: copper Kα. Structure: a crystal structure in the Materials Project, relaxed with GGA+U.
Neutral-atom scattering factors, no anomalous dispersion.

The 6 most intense peaks (2θ from 10° to 90°), by angle:
Position (°2θ)	I/Imax
30.5	45
30.7	39
31.3	100
32.2	43
32.5	53
42.1	30

Crystal structure
Lattice parameters (Å, degrees): 5.751 5.894 8.696 108.51 106.51 95.05
Fractional positions:
Sr 0.000 0.000 0.000
Sr 0.180 0.270 0.452
Sr 0.517 0.542 0.021
Sr 0.752 0.679 0.480
Li 0.563 0.065 0.511
Mn 0.129 0.636 0.248
Mn 0.615 0.125 0.231
Ga 0.376 0.970 0.746
Ga 0.914 0.373 0.773
O 0.068 0.533 0.013
O 0.196 0.233 0.739
O 0.222 0.734 0.520
O 0.386 0.356 0.242
O 0.398 0.894 0.285
O 0.430 0.942 0.959
O 0.684 0.093 0.736
O 0.770 0.267 0.472
O 0.772 0.629 0.748
O 0.853 0.370 0.211
O 0.857 0.899 0.227

---

This entry pairs a crystal structure of Sr4LiMn2Ga2O11 with its simulated PXRD pattern. Radiation: copper Kα. Structure: a crystal structure in the Materials Project, relaxed with GGA+U.
Neutral-atom scattering factors, no anomalous dispersion.

The 6 most intense peaks (2θ from 10° to 90°), by angle:
Position (°2θ)	I/Imax
30.9	100
31.9	76
32.8	81
42.8	41
55.0	38
56.8	33

Crystal structure
Lattice parameters (Å, degrees): 8.610 5.800 8.488 71.31 39.65 69.04
Fractional positions:
Sr 0.130 0.870 0.130
Sr 0.345 0.635 0.365
Sr 0.635 0.345 0.655
Sr 0.870 0.130 0.870
Li 0.341 0.341 0.659
Mn 0.244 0.244 0.256
Mn 0.744 0.744 0.756
Ga 0.513 0.923 0.487
Ga 0.923 0.513 0.077
O 0.166 0.320 0.065
O 0.315 0.681 0.685
O 0.320 0.166 0.448
O 0.497 0.497 0.003
O 0.524 0.979 0.021
O 0.552 0.935 0.680
O 0.681 0.315 0.319
O 0.821 0.821 0.179
O 0.935 0.552 0.834
O 0.979 0.524 0.476
O 0.997 0.997 0.503

---

This entry pairs a crystal structure of Sr4LiMn2Ga2O11 with its simulated PXRD pattern. Radiation: copper Kα. Structure: a crystal structure in the Materials Project, relaxed with GGA+U.
Neutral-atom scattering factors, no anomalous dispersion.

The 6 most intense peaks (2θ from 10° to 90°), by angle:
Position (°2θ)	I/Imax
29.3	81
30.7	80
31.3	79
31.4	94
33.0	75
33.2	100

Crystal structure
Lattice parameters (Å, degrees): 5.759 6.151 8.463 108.86 105.78 98.29
Fractional positions:
Sr 0.000 0.000 0.000
Sr 0.177 0.384 0.497
Sr 0.356 0.528 0.966
Sr 0.721 0.845 0.512
Li 0.777 0.319 0.979
Mn 0.341 0.944 0.745
Mn 0.766 0.468 0.732
Ga 0.065 0.732 0.253
Ga 0.604 0.123 0.241
O 0.076 0.415 0.194
O 0.097 0.700 0.773
O 0.154 0.800 0.502
O 0.347 0.881 0.220
O 0.470 0.242 0.712
O 0.498 0.143 0.014
O 0.581 0.718 0.722
O 0.684 0.379 0.455
O 0.821 0.615 0.984
O 0.873 0.976 0.279
O 0.948 0.234 0.767

---

Q: Number 6 is which compound?
A: Sr4LiMn2Ga2O11